(1)
Diffraction record for RbPu2RhS4. The X-ray powder pattern is theoretical, not measured: it uses a PBE-relaxed structure and Cu Ka.

Crystal structure
```
RbPu2RhS4
1.0
1.970 -6.952 0.000
1.970 6.952 0.000
0.000 0.000 13.820
Rb Pu Rh S
2 4 2 8
direct
0.105 0.895 0.750
0.895 0.105 0.250
0.366 0.634 0.561
0.366 0.634 0.939
0.634 0.366 0.061
0.634 0.366 0.439
0.168 0.832 0.250
0.832 0.168 0.750
0.000 0.000 0.000
0.000 0.000 0.500
0.261 0.739 0.104
0.261 0.739 0.396
0.421 0.579 0.750
0.579 0.421 0.250
0.739 0.261 0.604
0.739 0.261 0.896
```

Top 10 peaks for 2θ = 10–80°, most intense first:
d 2.753, I 100.0
d 2.036, I 83.3
d 2.930, I 82.2
d 3.840, I 79.5
d 6.211, I 71.9
d 3.323, I 63.2
d 3.476, I 53.8
d 2.568, I 45.1
d 6.923, I 37.2
d 1.970, I 32.8


(2)
Diffraction record for Rb4PuS4. The X-ray powder pattern is theoretical, not measured: it uses a PBE-relaxed structure and Cu Ka.

Crystal structure
```
Rb4PuS4
1.0
-3.975 3.975 6.838
3.975 -3.975 6.838
3.975 3.975 -6.838
Rb Pu S
4 1 4
direct
0.000 0.500 0.500
0.204 0.204 0.000
0.500 0.000 0.500
0.796 0.796 0.000
0.500 0.500 0.000
0.204 0.580 0.000
0.420 0.420 0.623
0.580 0.204 0.000
0.796 0.796 0.377
```

Top 10 peaks for 2θ = 10–80°, most intense first:
d 6.863, I 100.0
d 2.807, I 85.9
d 3.955, I 46.7
d 3.975, I 46.7
d 2.592, I 42.1
d 3.439, I 31.1
d 5.622, I 28.7
d 1.777, I 27.1
d 1.986, I 24.0
d 1.578, I 17.9


(3)
Diffraction record for Rb2PuSbS4. The X-ray powder pattern is theoretical, not measured: it uses a PBE-relaxed structure and Cu Ka.

Crystal structure
```
Rb2PuSbS4
1.0
-4.230 6.313 4.613
4.230 -6.313 4.613
4.230 6.313 -4.613
Rb Pu Sb S
4 2 2 8
direct
0.000 0.000 0.000
0.000 0.500 0.500
0.005 0.997 0.508
0.489 0.497 0.492
0.526 0.026 0.500
0.526 0.526 0.000
0.112 0.580 0.031
0.549 0.080 0.969
0.276 0.525 0.800
0.276 0.976 0.252
0.293 0.561 0.233
0.328 0.061 0.767
0.713 0.465 0.748
0.717 0.965 0.252
0.724 0.025 0.748
0.724 0.476 0.200
```

Top 10 peaks for 2θ = 10–80°, most intense first:
d 3.118, I 100.0
d 7.450, I 70.4
d 2.218, I 65.3
d 3.725, I 56.6
d 3.514, I 54.6
d 3.157, I 51.9
d 2.114, I 25.5
d 2.439, I 25.0
d 1.839, I 18.1
d 1.757, I 17.8


(4)
Diffraction record for RbPuSiS4. The X-ray powder pattern is theoretical, not measured: it uses a PBE-relaxed structure and Cu Ka.

Crystal structure
```
RbPuSiS4
1.0
6.511 0.000 0.000
0.000 6.625 0.000
-2.777 0.000 8.675
Rb Pu Si S
2 2 2 8
direct
0.230 0.250 0.436
0.770 0.750 0.564
0.270 0.250 0.949
0.730 0.750 0.051
0.283 0.750 0.169
0.717 0.250 0.831
0.087 0.750 0.935
0.092 0.750 0.320
0.500 0.001 0.206
0.500 0.499 0.206
0.500 0.501 0.794
0.500 0.999 0.794
0.908 0.250 0.680
0.913 0.250 0.065
```

Top 10 peaks for 2θ = 10–80°, most intense first:
d 8.675, I 100.0
d 4.527, I 78.6
d 2.833, I 40.0
d 3.312, I 36.6
d 2.264, I 29.7
d 3.552, I 29.0
d 2.725, I 28.3
d 2.633, I 27.5
d 3.098, I 26.2
d 2.221, I 25.7


Which formula does entry 2 have? Rb4PuS4